[1]
This entry pairs a crystal structure of Be24Fe5 with its simulated powder diffraction line list. Radiation: Cu Kα, 1.54184 Å. Structure: a DFT-relaxed cell (GGA-PBE, Alexandria).
Peak positions follow from Bragg's law for the DFT cell and can differ from measured ones.

Cell and atoms:
a b c (Å): 7.8026 7.8026 7.8026
angles (deg): 90.00 90.00 90.00
Space group I-43m (No. 217)
One atom of each set of equivalent atoms:
Be1 0.0376 0.3531 0.6469 x24
Be2 0.0911 0.0911 0.7212 x24
Fe1 0.0000 0.0000 0.0000 x2
Fe2 0.1901 0.1901 0.1901 x8

Top 6 peaks for 10 to 90 degrees two-theta, sorted by position:
16.06 deg, I = 55, hkl 1 1 0
28.01 deg, I = 69, hkl 2 1 1
32.46 deg, I = 39, hkl 2 2 0
43.39 deg, I = 40, hkl 3 2 1
49.57 deg, I = 100, hkl 3 3 0
75.04 deg, I = 23, hkl 5 3 2


[2]
This entry pairs a crystal structure of La2Si3AgAu12 with its simulated powder diffraction line list. Radiation: Cu Kα, 1.54184 Å. Structure: a DFT-relaxed cell (GGA-PBE, Alexandria).
Peak positions follow from Bragg's law for the DFT cell and can differ from measured ones.

Cell and atoms:
a b c (Å): 9.0268 9.0268 17.6802
angles (deg): 90.00 90.00 120.00
Space group R-3m (No. 166, hexagonal axes)
One atom of each set of equivalent atoms:
La1 0.0000 0.0000 0.1070 x6
Si1 0.0000 0.5000 0.0000 x9
Ag1 0.0000 0.0000 0.5000 x3
Au1 0.0124 0.5062 0.8620 x18
Au2 0.0277 0.5138 0.3244 x18

Top 6 peaks for 10 to 90 degrees two-theta, sorted by position:
30.33 deg, I = 27, hkl 0 0 6
30.53 deg, I = 63, hkl 0 2 4
31.94 deg, I = 29, hkl 1 2 2
34.19 deg, I = 50, hkl 2 0 5
39.95 deg, I = 100, hkl 2 2 0
50.97 deg, I = 34, hkl 2 2 6